No. 1
Simulated X-ray diffraction stick pattern
Compound: Zr2AlSbPt2
Radiation: Cu Kα (weighted mean of Kα1 and Kα2)
Structure: a PBE-relaxed structure
Neutral-atom scattering factors, no anomalous dispersion.

Crystal structure
```
data_Zr2AlSbPt2
_chemical_formula_sum 'Zr8 Al4 Sb4 Pt8'
_space_group_name_H-M_alt 'I -4 2 d'
_space_group_IT_number 122
_space_group_name_Hall 'I -4 2bw'
_cell_length_a 6.3261
_cell_length_b 6.3261
_cell_length_c 12.6581
_cell_angle_alpha 90.00
_cell_angle_beta 90.00
_cell_angle_gamma 90.00
loop_
_atom_site_label
_atom_site_fract_x
_atom_site_fract_y
_atom_site_fract_z
Zr1 0.0000 0.0000 0.2465
Al1 0.0000 0.0000 0.0000
Sb1 0.0000 0.0000 0.5000
Pt1 0.2384 0.2500 0.1250
```

The 12 most intense peaks (2θ = 10–90°), sorted by position:
index  d_spacing  intensity
1 0 1  5.659  3
1 1 2  3.653  72
1 0 3  3.510  4
2 1 1  2.761  3
2 1 3  2.350  2
2 0 4  2.237  100
1 1 6  1.908  36
0 0 8  1.582  17
3 1 6  1.452  15
2 2 8  1.292  34
1 1 10  1.218  11
4 0 8  1.118  11


No. 2
Simulated X-ray diffraction stick pattern
Compound: Er6LuNi2Te2
Radiation: Cu Kα (weighted mean of Kα1 and Kα2)
Structure: a PBE-relaxed structure
Neutral-atom scattering factors, no anomalous dispersion.

Crystal structure
```
data_Er6LuNi2Te2
_chemical_formula_sum 'Er12 Lu2 Ni4 Te4'
_space_group_name_H-M_alt 'I m m 2'
_space_group_IT_number 44
_space_group_name_Hall 'I 2 -2'
_cell_length_a 3.8069
_cell_length_b 15.4173
_cell_length_c 9.5110
_cell_angle_alpha 90.00
_cell_angle_beta 90.00
_cell_angle_gamma 90.00
loop_
_atom_site_label
_atom_site_fract_x
_atom_site_fract_y
_atom_site_fract_z
Er1 0.0000 0.1339 0.0000
Er2 0.0000 0.3154 0.7962
Er3 0.0000 0.3546 0.1465
Lu1 0.0000 0.0000 0.4188
Ni1 0.0000 0.2361 0.4886
Te1 0.0000 0.0000 0.7565
Te2 0.0000 0.5000 0.6530
```

The 12 most intense peaks (2θ = 10–90°), sorted by position:
index  d_spacing  intensity
0 1 3  3.105  15
1 3 0  3.059  22
0 5 1  2.933  22
1 1 2  2.918  53
0 3 3  2.698  81
1 4 1  2.605  100
0 6 0  2.572  74
1 0 3  2.436  23
1 2 3  2.323  17
2 0 0  1.904  29
1 7 2  1.769  28
2 3 3  1.556  37


No. 3
Simulated X-ray diffraction stick pattern
Compound: LuCuAgSb
Radiation: Cu Kα (weighted mean of Kα1 and Kα2)
Structure: a PBE-relaxed structure
Neutral-atom scattering factors, no anomalous dispersion.

Crystal structure
```
data_LuCuAgSb
_chemical_formula_sum 'Lu4 Cu4 Ag4 Sb4'
_space_group_name_H-M_alt 'F -4 3 m'
_space_group_IT_number 216
_space_group_name_Hall 'F -4 2 3'
_cell_length_a 6.8498
_cell_length_b 6.8498
_cell_length_c 6.8498
_cell_angle_alpha 90.00
_cell_angle_beta 90.00
_cell_angle_gamma 90.00
loop_
_atom_site_label
_atom_site_fract_x
_atom_site_fract_y
_atom_site_fract_z
Lu1 0.0000 0.0000 0.0000
Cu1 0.2500 0.2500 0.7500
Ag1 0.2500 0.2500 0.2500
Sb1 0.0000 0.0000 0.5000
```

The 12 most intense peaks (2θ = 10–90°), sorted by position:
index  d_spacing  intensity
1 1 1  3.955  5
2 0 0  3.425  7
2 2 0  2.422  100
3 1 1  2.065  3
2 2 2  1.977  2
4 0 0  1.712  17
3 3 1  1.571  1
4 2 0  1.532  3
4 2 2  1.398  34
4 4 0  1.211  11
5 3 1  1.158  1
6 0 0  1.142  2


No. 4
Simulated X-ray diffraction stick pattern
Compound: Cu3Au2
Radiation: Cu Kα (weighted mean of Kα1 and Kα2)
Structure: a PBE-relaxed structure
Neutral-atom scattering factors, no anomalous dispersion.

Crystal structure
```
data_Cu3Au2
_chemical_formula_sum 'Cu6 Au4'
_space_group_name_H-M_alt 'P 4/m'
_space_group_IT_number 83
_space_group_name_Hall '-P 4'
_cell_length_a 6.1998
_cell_length_b 6.1998
_cell_length_c 3.7437
_cell_angle_alpha 90.00
_cell_angle_beta 90.00
_cell_angle_gamma 90.00
loop_
_atom_site_label
_atom_site_fract_x
_atom_site_fract_y
_atom_site_fract_z
Cu1 0.0000 0.0000 0.0000
Cu2 0.0938 0.7099 0.5000
Cu3 0.5000 0.5000 0.5000
Au1 0.1975 0.3888 0.0000
```

The 12 most intense peaks (2θ = 10–90°), sorted by position:
index  d_spacing  intensity
0 0 1  3.744  17
1 2 0  2.773  19
1 2 1  2.228  100
3 1 0  1.961  33
0 0 2  1.872  15
3 1 1  1.737  9
1 2 2  1.551  8
2 4 0  1.386  10
3 1 2  1.354  19
5 0 1  1.177  24
1 2 3  1.138  12
2 4 2  1.114  10


No. 5
Simulated X-ray diffraction stick pattern
Compound: AcNdNO
Radiation: Cu Kα (weighted mean of Kα1 and Kα2)
Structure: a PBE-relaxed structure
Neutral-atom scattering factors, no anomalous dispersion.

Crystal structure
```
data_AcNdNO
_chemical_formula_sum 'Ac2 Nd2 N2 O2'
_space_group_name_H-M_alt 'P 4/n m m'
_space_group_IT_number 129
_cell_length_a 5.2748
_cell_length_b 5.2748
_cell_length_c 5.2426
_cell_angle_alpha 90.00
_cell_angle_beta 90.00
_cell_angle_gamma 90.00
loop_
_space_group_symop_operation_xyz
'x,y,z'
'-x,-y,-z'
'-y+1/2,x,z'
'y+1/2,-x,-z'
'-x+1/2,-y+1/2,z'
'x+1/2,y+1/2,-z'
'y,-x+1/2,z'
'-y,x+1/2,-z'
'x+1/2,-y,-z'
'-x+1/2,y,z'
'-y,-x,-z'
'y,x,z'
'-x,y+1/2,-z'
'x,-y+1/2,z'
'y+1/2,x+1/2,-z'
'-y+1/2,-x+1/2,z'
loop_
_atom_site_label
_atom_site_fract_x
_atom_site_fract_y
_atom_site_fract_z
Ac1 0.2500 0.7500 0.0000
Nd1 0.2500 0.2500 0.4967
N1 0.2500 0.2500 0.0223
O1 0.2500 0.7500 0.5000
```

The 12 most intense peaks (2θ = 10–90°), sorted by position:
index  d_spacing  intensity
1 1 1  3.039  100
2 0 0  2.637  48
0 0 2  2.621  24
2 2 0  1.865  17
2 0 2  1.859  34
3 1 1  1.590  32
1 1 3  1.582  16
2 2 2  1.520  18
3 1 3  1.207  13
4 2 0  1.179  8
4 0 2  1.178  8
2 0 4  1.174  8


No. 6
Simulated X-ray diffraction stick pattern
Compound: KNa3Ag2As2
Radiation: Cu Kα (weighted mean of Kα1 and Kα2)
Structure: a PBE-relaxed structure
Neutral-atom scattering factors, no anomalous dispersion.

Crystal structure
```
data_KNa3Ag2As2
_chemical_formula_sum 'K1 Na3 Ag2 As2'
_space_group_name_H-M_alt 'P 1'
_space_group_IT_number 1
_space_group_name_Hall 'P 1'
_cell_length_a 5.7039
_cell_length_b 5.8282
_cell_length_c 5.9792
_cell_angle_alpha 78.96
_cell_angle_beta 89.99
_cell_angle_gamma 89.98
loop_
_atom_site_label
_atom_site_fract_x
_atom_site_fract_y
_atom_site_fract_z
K1 0.0000 0.0000 0.0000
Na1 0.4983 0.7039 0.3004
Na2 0.5009 0.0667 0.6393
Na3 0.9984 0.3540 0.3530
Ag1 0.2516 0.5339 0.8221
Ag2 0.7477 0.5338 0.8221
As1 0.4997 0.2566 0.1140
As2 0.9994 0.8013 0.5290
```

The 12 most intense peaks (2θ = 10–90°), sorted by position:
index  d_spacing  intensity
0 0 1  5.869  50
0 1 0  5.720  45
0 1 1  4.555  100
0 2 1  2.790  26
2 0 1  2.565  39
2 -1 0  2.553  44
1 1 2  2.543  26
1 2 1  2.506  26
0 1 -2  2.429  29
2 1 -1  2.271  52
2 0 -2  2.045  30
2 2 0  2.020  27


No. 7
Simulated X-ray diffraction stick pattern
Compound: Tm3In3AgPd2
Radiation: Cu Kα (weighted mean of Kα1 and Kα2)
Structure: a PBE-relaxed structure
Neutral-atom scattering factors, no anomalous dispersion.

Crystal structure
```
data_Tm3In3AgPd2
_chemical_formula_sum 'Tm3 In3 Ag1 Pd2'
_space_group_name_H-M_alt 'P -6 2 m'
_space_group_IT_number 189
_space_group_name_Hall 'P -6 -2'
_cell_length_a 7.8011
_cell_length_b 7.8011
_cell_length_c 3.7378
_cell_angle_alpha 90.00
_cell_angle_beta 90.00
_cell_angle_gamma 120.00
loop_
_atom_site_label
_atom_site_fract_x
_atom_site_fract_y
_atom_site_fract_z
Tm1 0.0000 0.4084 0.0000
In1 0.0000 0.7296 0.5000
Ag1 0.0000 0.0000 0.0000
Pd1 0.3333 0.6667 0.5000
```

The 12 most intense peaks (2θ = 10–90°), sorted by position:
index  d_spacing  intensity
1 1 1  2.699  100
2 1 0  2.554  43
2 0 1  2.506  85
3 0 0  2.252  44
2 1 1  2.108  17
3 1 0  1.874  17
0 0 2  1.869  20
3 1 1  1.675  16
2 1 2  1.508  17
3 0 2  1.438  21
3 2 1  1.432  32
5 0 1  1.271  13


No. 8
Simulated X-ray diffraction stick pattern
Compound: LaNd2Fe2Ge4Ir2
Radiation: Cu Kα (weighted mean of Kα1 and Kα2)
Structure: a PBE-relaxed structure
Neutral-atom scattering factors, no anomalous dispersion.

Crystal structure
```
data_LaNd2Fe2Ge4Ir2
_chemical_formula_sum 'La2 Nd4 Fe4 Ge8 Ir4'
_space_group_name_H-M_alt 'I m m m'
_space_group_IT_number 71
_space_group_name_Hall '-I 2 2'
_cell_length_a 4.1319
_cell_length_b 4.2531
_cell_length_c 24.9063
_cell_angle_alpha 90.00
_cell_angle_beta 90.00
_cell_angle_gamma 90.00
loop_
_atom_site_label
_atom_site_fract_x
_atom_site_fract_y
_atom_site_fract_z
La1 0.0000 0.0000 0.0000
Nd1 0.0000 0.5000 0.1471
Fe1 0.0000 0.5000 0.4028
Ge1 0.0000 0.0000 0.4468
Ge2 0.0000 0.5000 0.3060
Ir1 0.0000 0.0000 0.2499
```

The 12 most intense peaks (2θ = 10–90°), sorted by position:
index  d_spacing  intensity
0 0 4  6.227  14
1 0 7  2.696  31
1 1 4  2.676  100
1 1 6  2.412  25
0 1 9  2.320  11
0 2 0  2.127  26
2 0 0  2.066  24
0 1 11  1.999  13
1 2 7  1.670  14
2 2 0  1.482  16
1 1 16  1.378  10
1 3 4  1.311  11


No. 9
Simulated X-ray diffraction stick pattern
Compound: La2Ni17
Radiation: Cu Kα (weighted mean of Kα1 and Kα2)
Structure: a PBE-relaxed structure
Neutral-atom scattering factors, no anomalous dispersion.

Crystal structure
```
data_La2Ni17
_chemical_formula_sum 'La6 Ni51'
_space_group_name_H-M_alt 'R -3 m'
_space_group_IT_number 166
_space_group_name_Hall '-R 3 2"'
_cell_length_a 8.3740
_cell_length_b 8.3740
_cell_length_c 12.1556
_cell_angle_alpha 90.00
_cell_angle_beta 90.00
_cell_angle_gamma 120.00
loop_
_atom_site_label
_atom_site_fract_x
_atom_site_fract_y
_atom_site_fract_z
La1 0.0000 0.0000 0.1595
Ni1 0.0000 0.0000 0.4019
Ni2 0.0000 0.2885 0.5000
Ni3 0.0000 0.5000 0.0000
Ni4 0.0032 0.5016 0.3447
```

The 12 most intense peaks (2θ = 10–90°), sorted by position:
index  d_spacing  intensity
1 1 3  2.912  31
3 0 0  2.417  39
0 2 4  2.329  29
2 2 0  2.094  67
3 0 3  2.076  100
2 1 4  2.035  16
0 0 6  2.026  35
2 0 5  2.019  17
2 2 3  1.860  32
2 2 6  1.456  17
6 0 0  1.209  17
3 0 9  1.179  18


No. 10
Simulated X-ray diffraction stick pattern
Compound: PrDyBr2O2
Radiation: Cu Kα (weighted mean of Kα1 and Kα2)
Structure: a PBE-relaxed structure
Neutral-atom scattering factors, no anomalous dispersion.

Crystal structure
```
data_PrDyBr2O2
_chemical_formula_sum 'Pr1 Dy1 Br2 O2'
_space_group_name_H-M_alt 'P 4 m m'
_space_group_IT_number 99
_space_group_name_Hall 'P 4 -2'
_cell_length_a 3.9128
_cell_length_b 3.9128
_cell_length_c 8.4538
_cell_angle_alpha 90.00
_cell_angle_beta 90.00
_cell_angle_gamma 90.00
loop_
_atom_site_label
_atom_site_fract_x
_atom_site_fract_y
_atom_site_fract_z
Pr1 0.0000 0.0000 0.0000
Dy1 0.5000 0.5000 0.2812
Br1 0.0000 0.0000 0.4761
Br2 0.5000 0.5000 0.8072
O1 0.0000 0.5000 0.1513
```

The 12 most intense peaks (2θ = 10–90°), sorted by position:
index  d_spacing  intensity
0 0 1  8.454  34
1 0 1  3.551  7
1 0 2  2.871  100
1 1 0  2.767  44
1 1 2  2.315  8
2 0 0  1.956  21
1 0 4  1.860  9
1 1 4  1.680  16
2 1 2  1.617  36
2 0 4  1.436  7
3 0 2  1.246  8
3 1 0  1.237  7


No. 11
Simulated X-ray diffraction stick pattern
Compound: ErBiN2O
Radiation: Cu Kα (weighted mean of Kα1 and Kα2)
Structure: a PBE-relaxed structure
Neutral-atom scattering factors, no anomalous dispersion.

Crystal structure
```
data_ErBiN2O
_chemical_formula_sum 'Er4 Bi4 N8 O4'
_space_group_name_H-M_alt 'P n m a'
_space_group_IT_number 62
_space_group_name_Hall '-P 2ac 2n'
_cell_length_a 5.8355
_cell_length_b 8.5818
_cell_length_c 5.5660
_cell_angle_alpha 90.00
_cell_angle_beta 90.00
_cell_angle_gamma 90.00
loop_
_atom_site_label
_atom_site_fract_x
_atom_site_fract_y
_atom_site_fract_z
Er1 0.0683 0.2500 0.0291
Bi1 0.0000 0.0000 0.5000
N1 0.1967 0.5813 0.8070
O1 0.0694 0.7500 0.3484
```

The 12 most intense peaks (2θ = 10–90°), sorted by position:
index  d_spacing  intensity
1 1 1  3.646  7
1 2 1  2.937  100
2 0 0  2.918  19
0 0 2  2.783  21
0 4 0  2.145  13
2 0 2  2.014  15
2 4 0  1.728  10
0 4 2  1.699  12
3 2 1  1.688  11
1 2 3  1.635  19
2 4 2  1.468  10
1 6 1  1.348  10


No. 12
Simulated X-ray diffraction stick pattern
Compound: Fe5RePd2
Radiation: Cu Kα (weighted mean of Kα1 and Kα2)
Structure: a PBE-relaxed structure
Neutral-atom scattering factors, no anomalous dispersion.

Crystal structure
```
data_Fe5RePd2
_chemical_formula_sum 'Fe10 Re2 Pd4'
_space_group_name_H-M_alt 'A m m 2'
_space_group_IT_number 38
_space_group_name_Hall 'A 2 -2'
_cell_length_a 4.1444
_cell_length_b 5.3729
_cell_length_c 9.1429
_cell_angle_alpha 90.00
_cell_angle_beta 90.00
_cell_angle_gamma 90.00
loop_
_atom_site_label
_atom_site_fract_x
_atom_site_fract_y
_atom_site_fract_z
Fe1 0.0000 0.0000 0.0000
Fe2 0.0000 0.2334 0.7688
Fe3 0.5000 0.2326 0.9259
Re1 0.5000 0.0000 0.6953
Pd1 0.0000 0.0000 0.5102
Pd2 0.5000 0.0000 0.1810
```

The 12 most intense peaks (2θ = 10–90°), sorted by position:
index  d_spacing  intensity
0 1 1  4.632  15
1 0 2  3.070  22
0 2 2  2.316  22
0 0 4  2.286  16
2 0 0  2.072  35
1 2 2  2.022  100
1 0 4  2.001  40
2 2 2  1.544  12
0 2 6  1.325  14
3 2 2  1.186  17
2 2 6  1.117  16
1 4 4  1.115  11


No. 13
Simulated X-ray diffraction stick pattern
Compound: ErF3
Radiation: Cu Kα (weighted mean of Kα1 and Kα2)
Structure: a PBE-relaxed structure
Neutral-atom scattering factors, no anomalous dispersion.

Crystal structure
```
data_ErF3
_chemical_formula_sum 'Er6 F18'
_space_group_name_H-M_alt 'R -3 c'
_space_group_IT_number 167
_space_group_name_Hall '-R 3 2"c'
_cell_length_a 5.0069
_cell_length_b 5.0069
_cell_length_c 14.6673
_cell_angle_alpha 90.00
_cell_angle_beta 90.00
_cell_angle_gamma 120.00
loop_
_atom_site_label
_atom_site_fract_x
_atom_site_fract_y
_atom_site_fract_z
Er1 0.0000 0.0000 0.0000
F1 0.0000 0.3104 0.2500
```

The 12 most intense peaks (2θ = 10–90°), sorted by position:
index  d_spacing  intensity
0 1 2  3.732  100
1 0 4  2.800  54
1 1 0  2.503  25
2 0 2  2.079  24
0 2 4  1.866  14
1 1 6  1.749  34
0 1 8  1.689  12
1 2 2  1.599  20
2 1 4  1.496  15
3 0 0  1.445  11
0 0 12  1.222  10
2 2 6  1.114  8